The following is a calculated X-ray powder pattern of BaP2OsS8. It was derived from a cell relaxed with GGA-PBE, using Cu Ka.
Peak positions follow from Bragg's law for the DFT cell and can differ from measured ones.

Most intense lines, 2θ = 5–70°, by angle:
2θ (°)	I/Imax
17.35	90
20.14	24
26.87	100
30.29	44
36.77	65
40.93	34
51.76	34
52.15	34
53.81	28
66.93	21

Structural model:
```
data_BaP2OsS8
_cell_length_a 5.9016
_cell_length_b 5.9016
_cell_length_c 8.7230
_cell_angle_alpha 90.00
_cell_angle_beta 90.00
_cell_angle_gamma 120.00
_space_group_name_H-M_alt 'P -3'
_space_group_IT_number 147
loop_
_space_group_symop_operation_xyz
'x,y,z'
'-x,-y,-z'
'-y,x-y,z'
'y,-x+y,-z'
'-x+y,-x,z'
'x-y,x,-z'
loop_
_atom_site_label
_atom_site_fract_x
_atom_site_fract_y
_atom_site_fract_z
Ba1 0.0000 0.0000 0.0000
P1 0.3333 0.6667 0.7212
Os1 0.0000 0.0000 0.5000
S1 0.0116 0.6798 0.3410
S2 0.3333 0.6667 0.9521
```